AcLa12Sm6: simulated PXRD pattern (a wavelength of 1.5418 Å), based on a GGA-PBE-relaxed structure.
Intensities are scaled so that the largest is 100.

Largest 8 diffraction maxima, by angle, 10 to 90 degrees two-theta:
2θ (°)	I/Imax
24.82	34
27.16	100
29.90	28
30.65	32
32.18	43
32.53	41
34.97	21
39.46	33

Crystal structure
a = 9.1777 Å, b = 9.1777 Å, c = 9.1777 Å
α = 101.05°, β = 101.05°, γ = 101.05°
Sites, in units of the cell vectors:
Ac 0.0000 0.0000 0.0000
La 0.1088 0.5000 0.8912
La 0.1088 0.8912 0.5000
La 0.1756 0.4487 0.4487
La 0.4487 0.1756 0.4487
La 0.4487 0.4487 0.1756
La 0.5000 0.1088 0.8912
La 0.5000 0.8912 0.1088
La 0.5513 0.5513 0.8244
La 0.5513 0.8244 0.5513
La 0.8244 0.5513 0.5513
La 0.8912 0.1088 0.5000
La 0.8912 0.5000 0.1088
Sm 0.2230 0.2230 0.7435
Sm 0.2230 0.7435 0.2230
Sm 0.2565 0.7770 0.7770
Sm 0.7435 0.2230 0.2230
Sm 0.7770 0.2565 0.7770
Sm 0.7770 0.7770 0.2565